Entry 1:
CuSi: calculated powder diffraction line list (Cu Ka), based on a PBE-relaxed structure.
Intensities are scaled so that the largest is 100.

Top 8 peaks for 2θ = 15–90°, most intense first:
| index | 2theta | d_spacing | I (rel.) |
| --- | --- | --- | --- |
| 1 1 0 | 43.4 | 2.087 | 100.0 |
| 0 1 3 | 32.8 | 2.734 | 79.1 |
| 0 1 5 | 44.5 | 2.036 | 77.3 |
| 1 0 5 | 52.1 | 1.756 | 43.4 |
| 1 0 3 | 42.1 | 2.148 | 39.0 |
| 1 2 5 | 74.6 | 1.273 | 37.7 |
| 0 2 0 | 49.3 | 1.847 | 33.5 |
| 1 1 2 | 46.0 | 1.975 | 22.7 |

Cell lengths 2.530, 3.694, 12.198 Å; angles 90.00, 90.00, 90.00 degrees
Space group Immm (No. 71)
One atom of each set of equivalent atoms:
Cu 0.000 0.000 0.181 [4 per cell]
Si 0.000 0.000 0.400 [4 per cell]

Entry 2:
Sm3CuSi2: calculated powder diffraction line list (Cu Ka), based on a PBE-relaxed structure.
Intensities are scaled so that the largest is 100.

Top 8 peaks for 2θ = 15–90°, most intense first:
| index | 2theta | d_spacing | I (rel.) |
| --- | --- | --- | --- |
| 0 1 3 | 31.3 | 2.859 | 100.0 |
| 3 1 2 | 35.1 | 2.559 | 75.6 |
| 2 1 1 | 27.2 | 3.277 | 55.1 |
| 2 1 2 | 30.3 | 2.945 | 49.9 |
| 0 2 0 | 42.7 | 2.117 | 48.0 |
| 3 0 2 | 27.8 | 3.213 | 47.5 |
| 3 1 1 | 32.3 | 2.770 | 46.5 |
| 1 0 4 | 31.7 | 2.820 | 44.3 |

Cell lengths 11.564, 4.233, 11.629 Å; angles 90.00, 90.00, 90.00 degrees
Space group Pnma (No. 62)
One atom of each set of equivalent atoms:
Sm 0.060 0.250 0.122 [4 per cell]
Sm 0.122 0.750 0.563 [4 per cell]
Sm 0.206 0.250 0.804 [4 per cell]
Cu 0.131 0.250 0.366 [4 per cell]
Si 0.028 0.750 0.316 [4 per cell]
Si 0.193 0.750 0.992 [4 per cell]

Entry 3:
SrCu6Si2: calculated powder diffraction line list (Cu Ka), based on a PBE-relaxed structure.
Intensities are scaled so that the largest is 100.

Top 8 peaks for 2θ = 15–90°, most intense first:
| index | 2theta | d_spacing | I (rel.) |
| --- | --- | --- | --- |
| 1 1 2 | 38.3 | 2.353 | 100.0 |
| 2 0 0 | 43.0 | 2.103 | 75.6 |
| 1 1 3 | 46.8 | 1.942 | 51.1 |
| 3 1 2 | 75.7 | 1.257 | 23.8 |
| 2 2 0 | 62.5 | 1.487 | 23.3 |
| 2 0 6 | 89.5 | 1.095 | 19.6 |
| 3 1 3 | 81.5 | 1.181 | 17.3 |
| 1 0 2 | 31.5 | 2.839 | 15.3 |

Cell lengths 4.206, 4.206, 7.695 Å; angles 90.00, 90.00, 90.00 degrees
Space group P4/mmm (No. 123)
One atom of each set of equivalent atoms:
Sr 0.000 0.000 0.000 [1 per cell]
Cu 0.000 0.000 0.500 [1 per cell]
Cu 0.000 0.500 0.317 [4 per cell]
Cu 0.500 0.500 0.500 [1 per cell]
Si 0.500 0.500 0.163 [2 per cell]

Entry 4:
SrCu4Si: calculated powder diffraction line list (Cu Ka), based on a PBE-relaxed structure.
Intensities are scaled so that the largest is 100.

Top 8 peaks for 2θ = 15–90°, most intense first:
| index | 2theta | d_spacing | I (rel.) |
| --- | --- | --- | --- |
| 2 0 1 | 39.9 | 2.259 | 100.0 |
| 1 3 1 | 41.5 | 2.177 | 99.1 |
| 0 0 2 | 44.5 | 2.036 | 49.3 |
| 1 3 0 | 34.8 | 2.576 | 48.8 |
| 0 2 1 | 29.9 | 2.985 | 43.0 |
| 2 2 0 | 39.0 | 2.309 | 39.9 |
| 3 3 1 | 64.7 | 1.440 | 24.9 |
| 1 3 2 | 57.7 | 1.597 | 21.4 |

Cell lengths 5.429, 8.779, 4.072 Å; angles 90.00, 90.00, 90.00 degrees
Space group Cmmm (No. 65)
One atom of each set of equivalent atoms:
Sr 0.000 0.000 0.000 [2 per cell]
Cu 0.000 0.346 0.000 [4 per cell]
Cu 0.250 0.250 0.500 [4 per cell]
Si 0.000 0.500 0.500 [2 per cell]

Entry 5:
SrCu12Si7: calculated powder diffraction line list (Cu Ka), based on a PBE-relaxed structure.
Intensities are scaled so that the largest is 100.

Top 8 peaks for 2θ = 15–90°, most intense first:
| index | 2theta | d_spacing | I (rel.) |
| --- | --- | --- | --- |
| 1 3 1 | 33.1 | 2.706 | 100.0 |
| 3 1 2 | 41.6 | 2.170 | 76.2 |
| 3 3 0 | 43.5 | 2.081 | 59.7 |
| 0 0 3 | 43.2 | 2.095 | 52.4 |
| 0 4 2 | 44.2 | 2.049 | 44.9 |
| 4 0 1 | 36.2 | 2.483 | 43.6 |
| 2 3 2 | 46.7 | 1.946 | 36.6 |
| 3 2 1 | 39.0 | 2.307 | 27.8 |

Cell lengths 12.4840, 12.4840, 6.2856 Å; angles 90.00, 90.00, 120.00 degrees
Space group R-3m (No. 166, hexagonal axes)
One atom of each set of equivalent atoms:
Sr 0.0000 0.0000 0.0000 [3 per cell]
Cu 0.0000 0.2611 0.0000 [18 per cell]
Cu 0.1104 0.2208 0.3163 [18 per cell]
Si 0.0000 0.0000 0.5000 [3 per cell]
Si 0.0977 0.5488 0.3693 [18 per cell]

Entry 6:
SrCu2Si: calculated powder diffraction line list (Cu Ka), based on a PBE-relaxed structure.
Intensities are scaled so that the largest is 100.

Top 8 peaks for 2θ = 15–90°, most intense first:
| index | 2theta | d_spacing | I (rel.) |
| --- | --- | --- | --- |
| 2 1 0 | 32.4 | 2.766 | 100.0 |
| 1 1 3 | 35.5 | 2.528 | 78.9 |
| 0 2 0 | 43.4 | 2.084 | 44.9 |
| 0 1 3 | 33.3 | 2.691 | 34.0 |
| 3 0 3 | 44.9 | 2.019 | 30.8 |
| 2 0 3 | 35.2 | 2.550 | 28.9 |
| 3 2 3 | 64.2 | 1.450 | 20.2 |
| 0 0 4 | 33.9 | 2.642 | 20.2 |

Cell lengths 7.394, 4.169, 10.567 Å; angles 90.00, 90.00, 90.00 degrees
Space group Pnma (No. 62)
One atom of each set of equivalent atoms:
Sr 0.163 0.250 0.130 [4 per cell]
Cu 0.108 0.250 0.439 [4 per cell]
Cu 0.182 0.250 0.828 [4 per cell]
Si 0.007 0.750 0.349 [4 per cell]